# 1
Computed XRD peak list of ErBe2Co2B for Cu Kα, from a GGA-PBE-relaxed structure.
Peak positions follow from Bragg's law for the DFT cell and can differ from measured ones.

Most intense lines, 2θ from 10° to 90°, sorted by position:
two_theta, I_rel, index
23.7, 56, 1 0 0
29.5, 61, 1 0 1
35.2, 32, 0 0 2
38.2, 100, 1 1 1
42.8, 31, 1 0 2
48.4, 30, 2 0 0
61.2, 24, 2 0 2
65.1, 20, 1 1 3

Cell and atoms:
Cell lengths 3.759, 3.759, 5.106 Å; angles 90.00, 90.00, 90.00 degrees
Space group P4/mmm (No. 123)
Symmetry-distinct sites (fractional):
Er 0.000 0.000 0.000 [1 per cell]
Be 0.500 0.500 0.243 [2 per cell]
Co 0.000 0.500 0.500 [2 per cell]
B 0.000 0.000 0.500 [1 per cell]

---

# 2
Computed XRD peak list of ScBe2CoB for Cu Kα, from a GGA-PBE-relaxed structure.
Peak positions follow from Bragg's law for the DFT cell and can differ from measured ones.

Most intense lines, 2θ from 10° to 90°, sorted by position:
two_theta, I_rel, index
27.6, 53, 0 1 1
28.8, 52, 1 0 1
38.7, 25, 0 0 4
39.0, 35, 0 1 3
40.0, 21, 1 0 3
42.7, 100, 1 1 2
53.0, 15, 0 2 0
56.9, 14, 1 0 5

Cell and atoms:
Cell lengths 3.283, 3.453, 9.305 Å; angles 90.00, 90.00, 90.00 degrees
Space group Imm2 (No. 44)
Symmetry-distinct sites (fractional):
Sc 0.000 0.000 0.000 [2 per cell]
Be 0.000 0.000 0.618 [2 per cell]
Be 0.000 0.500 0.273 [2 per cell]
Co 0.000 0.500 0.764 [2 per cell]
B 0.000 0.000 0.395 [2 per cell]

---

# 3
Computed XRD peak list of BeCoBTe for Cu Kα, from a GGA-PBE-relaxed structure.
Peak positions follow from Bragg's law for the DFT cell and can differ from measured ones.

Most intense lines, 2θ from 10° to 90°, sorted by position:
two_theta, I_rel, index
16.7, 51, 0 0 1
29.8, 39, 1 0 0
34.4, 100, 0 1 1
45.7, 55, 1 0 2
53.0, 26, 1 1 0
55.9, 13, 1 1 1
64.7, 15, 2 0 1
72.5, 13, 0 2 2

Cell and atoms:
Cell lengths 3.4581, 3.4581, 5.3127 Å; angles 90.00, 90.00, 120.00 degrees
Space group P3m1 (No. 156)
Symmetry-distinct sites (fractional):
Be 0.0000 0.0000 0.0000 [1 per cell]
Co 0.3333 0.6667 0.8016 [1 per cell]
B 0.6667 0.3333 0.9073 [1 per cell]
Te 0.0000 0.0000 0.4889 [1 per cell]

---

What did the first record say?
Computed XRD peak list of ErBe2Co2B for Cu Kα, from a GGA-PBE-relaxed structure.
Peak positions follow from Bragg's law for the DFT cell and can differ from measured ones.

Most intense lines, 2θ from 10° to 90°, sorted by position:
two_theta, I_rel, index
23.7, 56, 1 0 0
29.5, 61, 1 0 1
35.2, 32, 0 0 2
38.2, 100, 1 1 1
42.8, 31, 1 0 2
48.4, 30, 2 0 0
61.2, 24, 2 0 2
65.1, 20, 1 1 3

Cell and atoms:
Cell lengths 3.759, 3.759, 5.106 Å; angles 90.00, 90.00, 90.00 degrees
Space group P4/mmm (No. 123)
Symmetry-distinct sites (fractional):
Er 0.000 0.000 0.000 [1 per cell]
Be 0.500 0.500 0.243 [2 per cell]
Co 0.000 0.500 0.500 [2 per cell]
B 0.000 0.000 0.500 [1 per cell]